No. 1
Structure and theoretical powder XRD pattern of ScAs2O2 (a cell relaxed with GGA-PBE; Cu Kα (weighted mean of Kα1 and Kα2)).

Structural model:
a b c (Å): 9.6675 9.6675 9.6675
angles (deg): 115.71 115.71 97.61
Sites, in units of the cell vectors:
Sc 0.0000 0.0000 0.0000
Sc 0.0000 0.0000 0.5000
Sc 0.0000 0.5000 0.0000
Sc 0.5000 0.0000 0.5000
As 0.1033 0.7275 0.3758
As 0.1483 0.2725 0.8758
As 0.2725 0.1483 0.3758
As 0.2725 0.8967 0.1242
As 0.7275 0.1033 0.8758
As 0.7275 0.8517 0.6242
As 0.8517 0.7275 0.1242
As 0.8967 0.2725 0.6242
O 0.1116 0.1509 0.9607
O 0.1509 0.1116 0.4607
O 0.1509 0.6902 0.0393
O 0.3098 0.8491 0.4607
O 0.6902 0.1509 0.5393
O 0.8491 0.3098 0.9607
O 0.8491 0.8884 0.5393
O 0.8884 0.8491 0.0393

Principal peaks in the range 5 to 70 degrees two-theta, low angle first:
2θ (°)  I_rel
11.06  100
17.24  17
22.66  22
28.03  9
32.15  22
36.70  15
37.72  17
41.75  14

***

No. 2
Structure and theoretical powder XRD pattern of In3Sb (a cell relaxed with GGA-PBE; Cu Kα (weighted mean of Kα1 and Kα2)).

Structural model:
a b c (Å): 4.8370 4.8370 4.8370
angles (deg): 90.00 90.00 90.00
Sites, in units of the cell vectors:
In 0.0000 0.0000 0.5000
In 0.0000 0.5000 0.0000
In 0.5000 0.0000 0.0000
Sb 0.5000 0.5000 0.5000

Principal peaks in the range 5 to 70 degrees two-theta, low angle first:
2θ (°)  I_rel
32.05  100
37.18  50
53.59  34
63.82  39
67.02  11

***

No. 3
Structure and theoretical powder XRD pattern of CeCuPt4 (a cell relaxed with GGA-PBE; Cu Kα (weighted mean of Kα1 and Kα2)).

Structural model:
a b c (Å): 5.3739 5.3739 4.3585
angles (deg): 90.00 90.00 120.00
Sites, in units of the cell vectors:
Ce 0.0000 0.0000 0.0000
Cu 0.3333 0.6667 0.0000
Pt 0.0038 0.5019 0.5000
Pt 0.4981 0.5019 0.5000
Pt 0.4981 0.9962 0.5000
Pt 0.6667 0.3333 0.0000

Principal peaks in the range 5 to 70 degrees two-theta, low angle first:
2θ (°)  I_rel
19.07  37
28.05  37
38.70  53
39.40  100
41.43  39
44.12  69
57.98  33
63.67  24

***

No. 4
Structure and theoretical powder XRD pattern of KZnCl3O (a cell relaxed with GGA-PBE; Cu Kα (weighted mean of Kα1 and Kα2)).

Structural model:
a b c (Å): 6.5437 8.1025 11.8218
angles (deg): 90.00 90.00 90.00
Sites, in units of the cell vectors:
K 0.1902 0.0210 0.4864
K 0.3098 0.9790 0.9864
K 0.6902 0.4790 0.5136
K 0.8098 0.5210 0.0136
Zn 0.2438 0.5723 0.7731
Zn 0.2562 0.4277 0.2731
Zn 0.7438 0.9277 0.2269
Zn 0.7562 0.0723 0.7269
Cl 0.0840 0.2439 0.1573
Cl 0.1013 0.1265 0.7536
Cl 0.1927 0.4046 0.4595
Cl 0.3073 0.5954 0.9595
Cl 0.3987 0.8735 0.2536
Cl 0.4160 0.7561 0.6573
Cl 0.5840 0.2561 0.8427
Cl 0.6013 0.3735 0.2464
Cl 0.6927 0.0954 0.5405
Cl 0.8073 0.9046 0.0405
Cl 0.8987 0.6265 0.7464
Cl 0.9160 0.7439 0.3427
O 0.1648 0.6394 0.2066
O 0.3352 0.3606 0.7066
O 0.6648 0.8606 0.7934
O 0.8352 0.1394 0.2934

Principal peaks in the range 5 to 70 degrees two-theta, low angle first:
2θ (°)  I_rel
14.99  54
17.42  45
23.06  100
23.21  67
27.26  40
30.03  42
30.24  48
35.26  33

***

No. 5
Structure and theoretical powder XRD pattern of Tb5Pt3 (a cell relaxed with GGA-PBE; Cu Kα (weighted mean of Kα1 and Kα2)).

Structural model:
a b c (Å): 8.4518 8.4518 6.2935
angles (deg): 90.00 90.00 120.00
Sites, in units of the cell vectors:
Tb 0.0000 0.2470 0.2500
Tb 0.0000 0.7530 0.7500
Tb 0.2470 0.0000 0.2500
Tb 0.2470 0.2470 0.7500
Tb 0.3333 0.6667 0.0000
Tb 0.3333 0.6667 0.5000
Tb 0.6667 0.3333 0.0000
Tb 0.6667 0.3333 0.5000
Tb 0.7530 0.0000 0.7500
Tb 0.7530 0.7530 0.2500
Pt 0.0000 0.3939 0.7500
Pt 0.0000 0.6061 0.2500
Pt 0.3939 0.0000 0.7500
Pt 0.3939 0.3939 0.2500
Pt 0.6061 0.0000 0.2500
Pt 0.6061 0.6061 0.7500

Principal peaks in the range 5 to 70 degrees two-theta, low angle first:
2θ (°)  I_rel
28.36  25
32.36  24
35.44  100
35.57  82
36.84  46
47.03  20
52.14  16
54.93  29

***

No. 6
Structure and theoretical powder XRD pattern of Mg15Sn (a cell relaxed with GGA-PBE; Cu Kα (weighted mean of Kα1 and Kα2)).

Structural model:
a b c (Å): 6.3682 6.3682 10.4726
angles (deg): 90.00 90.00 120.00
Sites, in units of the cell vectors:
Mg 0.0000 0.0000 0.0000
Mg 0.0000 0.5000 0.0000
Mg 0.1668 0.3337 0.2500
Mg 0.1668 0.3337 0.7500
Mg 0.1668 0.8332 0.2500
Mg 0.1668 0.8332 0.7500
Mg 0.5000 0.0000 0.0000
Mg 0.5003 0.0006 0.5000
Mg 0.5000 0.5000 0.0000
Mg 0.5003 0.4997 0.5000
Mg 0.6663 0.8332 0.2500
Mg 0.6663 0.8332 0.7500
Mg 0.6667 0.3333 0.2500
Mg 0.6667 0.3333 0.7500
Mg 0.9994 0.4997 0.5000
Sn 0.0000 0.0000 0.5000

Principal peaks in the range 5 to 70 degrees two-theta, low angle first:
2θ (°)  I_rel
8.44  22
16.07  17
18.18  26
32.47  26
34.25  27
36.84  100
63.03  20
69.05  20